# 1
For ZnOsW2, a cell relaxed with GGA-PBE gives the simulated X-ray diffraction stick pattern in this record (Cu Kα (λ = 1.5418 Å)).
Peak positions follow from Bragg's law for the DFT cell and can differ from measured ones.

Cell and atoms:
```
data_ZnOsW2
_chemical_formula_sum 'Zn1 Os1 W2'
_cell_length_a 9.2955
_cell_length_b 9.2955
_cell_length_c 9.2955
_cell_angle_alpha 17.27
_cell_angle_beta 17.27
_cell_angle_gamma 17.27
_symmetry_space_group_name_H-M 'P 1'
_symmetry_Int_Tables_number 1
loop_
_symmetry_equiv_pos_as_xyz
'x,y,z'
loop_
_atom_site_label
_atom_site_type_symbol
_atom_site_fract_x
_atom_site_fract_y
_atom_site_fract_z
Zn1 Zn 0.0000 0.0000 0.0000
Os1 Os 0.7484 0.7484 0.7484
W1 W 0.2494 0.2494 0.2494
W2 W 0.4938 0.4938 0.4938
```

Largest 12 diffraction maxima, by intensity, 2θ from 10° to 90°:
2θ (°), d/Å, intensity
39.52, 2.280, 100.0
45.91, 1.977, 64.7
80.65, 1.191, 37.5
39.37, 2.289, 32.7
67.05, 1.396, 21.3
66.85, 1.400, 20.2
80.43, 1.194, 11.7
85.09, 1.140, 11.2
19.39, 4.577, 7.7
37.78, 2.381, 3.9
37.34, 2.408, 3.7
84.70, 1.144, 3.3

=====

# 2
For Sm7PbS5, a cell relaxed with GGA-PBE gives the simulated X-ray diffraction stick pattern in this record (Cu Kα (λ = 1.5418 Å)).
Peak positions follow from Bragg's law for the DFT cell and can differ from measured ones.

Cell and atoms:
```
data_Sm7PbS5
_chemical_formula_sum 'Sm14 Pb2 S10'
_cell_length_a 6.9446
_cell_length_b 6.9446
_cell_length_c 24.1671
_cell_angle_alpha 90.00
_cell_angle_beta 90.00
_cell_angle_gamma 145.95
_symmetry_space_group_name_H-M 'P 1'
_symmetry_Int_Tables_number 1
loop_
_symmetry_equiv_pos_as_xyz
'x,y,z'
loop_
_atom_site_label
_atom_site_type_symbol
_atom_site_fract_x
_atom_site_fract_y
_atom_site_fract_z
Sm1 Sm 0.0168 0.9832 0.7500
Sm2 Sm 0.1360 0.8640 0.0365
Sm3 Sm 0.1360 0.8640 0.4635
Sm4 Sm 0.3247 0.6753 0.6708
Sm5 Sm 0.3247 0.6753 0.8292
Sm6 Sm 0.4080 0.5920 0.1094
Sm7 Sm 0.4080 0.5920 0.3906
Sm8 Sm 0.5920 0.4080 0.6094
Sm9 Sm 0.5920 0.4080 0.8906
Sm10 Sm 0.6753 0.3247 0.1708
Sm11 Sm 0.6753 0.3247 0.3292
Sm12 Sm 0.8640 0.1360 0.5365
Sm13 Sm 0.8640 0.1360 0.9635
Sm14 Sm 0.9832 0.0168 0.2500
Pb1 Pb 0.3006 0.6994 0.2500
Pb2 Pb 0.6994 0.3006 0.7500
S1 S 0.0434 0.9566 0.1398
S2 S 0.0434 0.9566 0.3602
S3 S 0.2266 0.7734 0.5692
S4 S 0.2266 0.7734 0.9308
S5 S 0.5000 0.5000 0.0000
S6 S 0.5000 0.5000 0.5000
S7 S 0.7734 0.2266 0.0692
S8 S 0.7734 0.2266 0.4308
S9 S 0.9566 0.0434 0.6398
S10 S 0.9566 0.0434 0.8602
```

Largest 12 diffraction maxima, by intensity, 2θ from 10° to 90°:
2θ (°), d/Å, intensity
30.76, 2.907, 100.0
29.15, 3.064, 95.6
31.88, 2.807, 57.4
29.49, 3.029, 47.6
27.28, 3.269, 36.1
54.14, 1.694, 34.4
44.57, 2.033, 30.8
44.87, 2.020, 22.6
73.56, 1.288, 22.0
40.83, 2.210, 21.6
54.94, 1.671, 18.7
34.75, 2.582, 17.5